(1)
Structure and simulated powder diffractogram of KNaMgF4 (a DFT-relaxed cell (PBE, Alexandria); Cu Kα (weighted mean of Kα1 and Kα2)).
No peak broadening, texture or thermal motion is included.

Structure:
```
data_KNaMgF4
_chemical_formula_sum 'K2 Na2 Mg2 F8'
_cell_length_a 3.973
_cell_length_b 3.973
_cell_length_c 12.717
_cell_angle_alpha 90.00
_cell_angle_beta 90.00
_cell_angle_gamma 90.00
_space_group_name_H-M_alt 'I 4 m m'
_space_group_IT_number 107
_space_group_name_Hall 'I 4 -2'
loop_
_atom_site_label
_atom_site_type_symbol
_atom_site_fract_x
_atom_site_fract_y
_atom_site_fract_z
K1 K 0.000 0.000 0.000
Na1 Na 0.000 0.000 0.704
Mg1 Mg 0.000 0.000 0.350
F1 F 0.000 0.000 0.194
F2 F 0.000 0.000 0.512
F3 F 0.000 0.500 0.346
```

Most intense lines, 10° ≤ 2θ ≤ 90°, most intense first:
d (Å), Position (°2θ), I_rel, (hkl)
1.987, 45.7, 100, 2 0 0
2.810, 31.9, 88, 1 1 0
2.105, 43.0, 74, 1 1 4
2.899, 30.8, 53, 1 0 3
2.119, 42.7, 51, 0 0 6
6.358, 13.9, 48, 0 0 2

(2)
Structure and simulated powder diffractogram of Zn6CoPd (a DFT-relaxed cell (PBE, Alexandria); Cu Kα (weighted mean of Kα1 and Kα2)).
No peak broadening, texture or thermal motion is included.

Structure:
```
data_Zn6CoPd
_chemical_formula_sum 'Zn24 Co4 Pd4'
_cell_length_a 5.594
_cell_length_b 7.435
_cell_length_c 10.732
_cell_angle_alpha 90.00
_cell_angle_beta 90.00
_cell_angle_gamma 90.00
_space_group_name_H-M_alt 'F m m m'
_space_group_IT_number 69
_space_group_name_Hall '-F 2 2'
loop_
_atom_site_label
_atom_site_type_symbol
_atom_site_fract_x
_atom_site_fract_y
_atom_site_fract_z
Zn1 Zn 0.000 0.000 0.241
Zn2 Zn 0.250 0.250 0.119
Co1 Co 0.000 0.000 0.000
Pd1 Pd 0.000 0.000 0.500
```

Most intense lines, 10° ≤ 2θ ≤ 90°, most intense first:
d (Å), Position (°2θ), I_rel, (hkl)
2.235, 40.4, 100, 2 2 0
2.176, 41.5, 90, 0 2 4
1.936, 46.9, 63, 2 0 4
1.341, 70.2, 43, 2 4 4
1.859, 49.0, 28, 0 4 0
1.176, 81.9, 22, 4 2 4

(3)
Structure and simulated powder diffractogram of Li3Bi2Rh2 (a DFT-relaxed cell (PBE, Alexandria); Cu Kα (weighted mean of Kα1 and Kα2)).
No peak broadening, texture or thermal motion is included.

Structure:
```
data_Li3Bi2Rh2
_chemical_formula_sum 'Li9 Bi6 Rh6'
_cell_length_a 4.6003
_cell_length_b 4.6003
_cell_length_c 20.5439
_cell_angle_alpha 90.00
_cell_angle_beta 90.00
_cell_angle_gamma 120.00
_space_group_name_H-M_alt 'R -3 m'
_space_group_IT_number 166
_space_group_name_Hall '-R 3 2"'
loop_
_atom_site_label
_atom_site_type_symbol
_atom_site_fract_x
_atom_site_fract_y
_atom_site_fract_z
Li1 Li 0.0000 0.0000 0.0000
Li2 Li 0.0000 0.0000 0.1425
Bi1 Bi 0.0000 0.0000 0.4156
Rh1 Rh 0.0000 0.0000 0.2825
```

Most intense lines, 10° ≤ 2θ ≤ 90°, most intense first:
d (Å), Position (°2θ), I_rel, (hkl)
3.911, 22.7, 100, 1 0 1
2.300, 39.2, 69, 1 1 0
2.363, 38.1, 59, 1 0 7
1.909, 47.6, 43, 1 1 6
3.424, 26.0, 36, 0 0 6
1.340, 70.3, 20, 2 1 7

(4)
Structure and simulated powder diffractogram of CsSiSbTe2 (a DFT-relaxed cell (PBE, Alexandria); Cu Kα (weighted mean of Kα1 and Kα2)).
No peak broadening, texture or thermal motion is included.

Structure:
```
data_CsSiSbTe2
_chemical_formula_sum 'Cs1 Si1 Sb1 Te2'
_cell_length_a 5.639
_cell_length_b 5.639
_cell_length_c 5.351
_cell_angle_alpha 90.00
_cell_angle_beta 90.00
_cell_angle_gamma 90.00
_space_group_name_H-M_alt 'P 4/m m m'
_space_group_IT_number 123
_space_group_name_Hall '-P 4 2'
loop_
_atom_site_label
_atom_site_type_symbol
_atom_site_fract_x
_atom_site_fract_y
_atom_site_fract_z
Cs1 Cs 0.000 0.000 0.000
Si1 Si 0.500 0.500 0.500
Sb1 Sb 0.500 0.500 0.000
Te1 Te 0.000 0.500 0.500
```

Most intense lines, 10° ≤ 2θ ≤ 90°, most intense first:
d (Å), Position (°2θ), I_rel, (hkl)
3.197, 27.9, 100, 1 1 1
2.820, 31.7, 45, 2 0 0
1.692, 54.2, 31, 3 1 1
1.941, 46.8, 30, 2 0 2
2.676, 33.5, 19, 0 0 2
1.261, 75.4, 19, 4 2 0

(5)
Structure and simulated powder diffractogram of Hf12TlSn3 (a DFT-relaxed cell (PBE, Alexandria); Cu Kα (weighted mean of Kα1 and Kα2)).
No peak broadening, texture or thermal motion is included.

Structure:
```
data_Hf12TlSn3
_chemical_formula_sum 'Hf12 Tl1 Sn3'
_cell_length_a 5.589
_cell_length_b 5.592
_cell_length_c 11.182
_cell_angle_alpha 90.00
_cell_angle_beta 90.00
_cell_angle_gamma 90.00
_space_group_name_H-M_alt 'P m m m'
_space_group_IT_number 47
_space_group_name_Hall '-P 2 2'
loop_
_atom_site_label
_atom_site_type_symbol
_atom_site_fract_x
_atom_site_fract_y
_atom_site_fract_z
Hf1 Hf 0.000 0.000 0.124
Hf2 Hf 0.000 0.000 0.374
Hf3 Hf 0.250 0.500 0.251
Hf4 Hf 0.500 0.250 0.000
Hf5 Hf 0.500 0.250 0.500
Tl1 Tl 0.000 0.500 0.000
Sn1 Sn 0.000 0.500 0.500
Sn2 Sn 0.500 0.000 0.251
```

Most intense lines, 10° ≤ 2θ ≤ 90°, most intense first:
d (Å), Position (°2θ), I_rel, (hkl)
2.500, 35.9, 100, 2 0 2
2.282, 39.5, 63, 1 1 4
1.494, 62.1, 34, 2 3 2
2.795, 32.0, 27, 2 0 0
1.551, 59.6, 23, 0 3 4
1.220, 78.4, 21, 2 4 2

(6)
Structure and simulated powder diffractogram of La6PrNd12 (a DFT-relaxed cell (PBE, Alexandria); Cu Kα (weighted mean of Kα1 and Kα2)).
No peak broadening, texture or thermal motion is included.

Structure:
```
data_La6PrNd12
_chemical_formula_sum 'La18 Pr3 Nd36'
_cell_length_a 16.1413
_cell_length_b 16.1413
_cell_length_c 9.0882
_cell_angle_alpha 90.00
_cell_angle_beta 90.00
_cell_angle_gamma 120.00
_space_group_name_H-M_alt 'R -3'
_space_group_IT_number 148
_space_group_name_Hall '-R 3'
loop_
_atom_site_label
_atom_site_type_symbol
_atom_site_fract_x
_atom_site_fract_y
_atom_site_fract_z
La1 La 0.0349 0.7550 0.3337
Pr1 Pr 0.0000 0.0000 0.0000
Nd1 Nd 0.0175 0.8773 0.6672
Nd2 Nd 0.0706 0.5096 0.6668
```

Most intense lines, 10° ≤ 2θ ≤ 90°, most intense first:
d (Å), Position (°2θ), I_rel, (hkl)
3.026, 29.5, 100, 0 0 3
2.620, 34.2, 51, 2 3 2
1.580, 58.4, 43, 7 1 3
1.853, 49.2, 36, 7 1 0
1.512, 61.3, 9, 10 -4 2
1.203, 79.7, 9, 10 -4 5

(7)
Structure and simulated powder diffractogram of CeThSN (a DFT-relaxed cell (PBE, Alexandria); Cu Kα (weighted mean of Kα1 and Kα2)).
No peak broadening, texture or thermal motion is included.

Structure:
```
data_CeThSN
_chemical_formula_sum 'Ce1 Th1 S1 N1'
_cell_length_a 3.7171
_cell_length_b 3.7171
_cell_length_c 6.7345
_cell_angle_alpha 90.00
_cell_angle_beta 90.00
_cell_angle_gamma 120.00
_space_group_name_H-M_alt 'P 3 m 1'
_space_group_IT_number 156
_space_group_name_Hall 'P 3 -2"'
loop_
_atom_site_label
_atom_site_type_symbol
_atom_site_fract_x
_atom_site_fract_y
_atom_site_fract_z
Ce1 Ce 0.0000 0.0000 0.0000
Th1 Th 0.6667 0.3333 0.4246
S1 S 0.3333 0.6667 0.7145
N1 N 0.3333 0.6667 0.2164
```

Most intense lines, 10° ≤ 2θ ≤ 90°, most intense first:
d (Å), Position (°2θ), I_rel, (hkl)
2.904, 30.8, 100, 1 0 1
2.327, 38.7, 37, 0 1 2
1.859, 49.0, 23, 1 1 0
1.841, 49.5, 19, 1 0 3
3.367, 26.5, 19, 0 0 2
1.565, 59.0, 16, 0 2 1

(8)
Structure and simulated powder diffractogram of Pa6Al2N (a DFT-relaxed cell (PBE, Alexandria); Cu Kα (weighted mean of Kα1 and Kα2)).
No peak broadening, texture or thermal motion is included.

Structure:
```
data_Pa6Al2N
_chemical_formula_sum 'Pa12 Al4 N2'
_cell_length_a 6.281
_cell_length_b 6.281
_cell_length_c 9.778
_cell_angle_alpha 90.00
_cell_angle_beta 90.00
_cell_angle_gamma 90.00
_space_group_name_H-M_alt 'I 4/m m m'
_space_group_IT_number 139
_space_group_name_Hall '-I 4 2'
loop_
_atom_site_label
_atom_site_type_symbol
_atom_site_fract_x
_atom_site_fract_y
_atom_site_fract_z
Pa1 Pa 0.000 0.000 0.238
Pa2 Pa 0.230 0.230 0.500
Al1 Al 0.000 0.500 0.250
N1 N 0.000 0.000 0.000
```

Most intense lines, 10° ≤ 2θ ≤ 90°, most intense first:
d (Å), Position (°2θ), I_rel, (hkl)
2.642, 33.9, 100, 2 0 2
2.221, 40.6, 31, 2 2 0
1.644, 55.9, 24, 2 2 4
1.350, 69.7, 22, 4 2 2
2.444, 36.8, 21, 0 0 4
4.441, 20.0, 18, 1 1 0